# 1
Starting from a PBE-relaxed structure, the XRD peak list of Ce6Pu2Tl was calculated for λ = 1.5418 Å (Cu Kα).

Largest 10 diffraction maxima, low angle first, 2θ = 5–70°:
2θ/deg, I_rel
10.04, 45
18.42, 38
26.91, 19
30.87, 100
33.04, 83
34.28, 54
37.33, 48
39.49, 56
53.27, 31
55.47, 31

Atomic structure:
Cell lengths 10.5240, 10.5240, 4.5638 Å; angles 90.00, 90.00, 66.27 degrees
Fractional coordinates of all 18 atoms:
Ce1 0.0039 0.1566 0.2500
Ce2 0.0103 0.5866 0.2500
Ce3 0.1566 0.0039 0.7500
Ce4 0.2908 0.4981 0.7500
Ce5 0.4134 0.9897 0.2500
Ce6 0.4981 0.2908 0.2500
Ce7 0.5019 0.7092 0.7500
Ce8 0.5866 0.0103 0.7500
Ce9 0.7092 0.5019 0.2500
Ce10 0.8434 0.9961 0.2500
Ce11 0.9897 0.4134 0.7500
Ce12 0.9961 0.8434 0.7500
Pu1 0.2478 0.2811 0.7500
Pu2 0.2811 0.2478 0.2500
Pu3 0.7189 0.7522 0.7500
Pu4 0.7522 0.7189 0.2500
Tl1 0.2523 0.7477 0.2500
Tl2 0.7477 0.2523 0.7500

# 2
Starting from a PBE-relaxed structure, the XRD peak list of Ce2PuTl9 was calculated for λ = 1.5418 Å (Cu Kα).

Largest 10 diffraction maxima, low angle first, 2θ = 5–70°:
2θ/deg, I_rel
6.12, 2
12.26, 1
19.49, 1
32.27, 100
36.33, 1
37.44, 51
53.98, 36
64.22, 14
64.35, 28
67.54, 12

Atomic structure:
Cell lengths 4.8007, 4.8007, 14.4373 Å; angles 90.00, 90.00, 90.00 degrees
Fractional coordinates of all 12 atoms:
Ce1 0.0000 0.0000 0.1682
Ce2 0.0000 0.0000 0.8318
Pu1 0.0000 0.0000 0.5000
Tl1 0.0000 0.5000 0.0000
Tl2 0.0000 0.5000 0.3368
Tl3 0.0000 0.5000 0.6632
Tl4 0.5000 0.0000 0.0000
Tl5 0.5000 0.0000 0.3368
Tl6 0.5000 0.0000 0.6632
Tl7 0.5000 0.5000 0.1676
Tl8 0.5000 0.5000 0.5000
Tl9 0.5000 0.5000 0.8324

# 3
Starting from a PBE-relaxed structure, the XRD peak list of Ce6PuTl3 was calculated for λ = 1.5418 Å (Cu Kα).

Largest 10 diffraction maxima, low angle first, 2θ = 5–70°:
2θ/deg, I_rel
16.75, 10
27.79, 10
29.22, 10
31.46, 18
33.28, 100
43.47, 28
51.81, 26
57.19, 21
61.89, 17
62.98, 16

Atomic structure:
Cell lengths 8.3488, 8.3488, 8.3488 Å; angles 78.70, 78.70, 78.70 degrees
Fractional coordinates of all 20 atoms:
Ce1 0.1359 0.8069 0.8069
Ce2 0.1931 0.1931 0.8641
Ce3 0.1931 0.8641 0.1931
Ce4 0.1959 0.5251 0.5251
Ce5 0.4749 0.4749 0.8041
Ce6 0.4749 0.8041 0.4749
Ce7 0.5251 0.1959 0.5251
Ce8 0.5251 0.5251 0.1959
Ce9 0.8041 0.4749 0.4749
Ce10 0.8069 0.1359 0.8069
Ce11 0.8069 0.8069 0.1359
Ce12 0.8641 0.1931 0.1931
Pu1 0.0000 0.0000 0.0000
Pu2 0.5000 0.5000 0.5000
Tl1 0.1405 0.1405 0.4752
Tl2 0.1405 0.4752 0.1405
Tl3 0.4752 0.1405 0.1405
Tl4 0.5248 0.8595 0.8595
Tl5 0.8595 0.5248 0.8595
Tl6 0.8595 0.8595 0.5248

# 4
Starting from a PBE-relaxed structure, the XRD peak list of Ce3Pu2Tl3 was calculated for λ = 1.5418 Å (Cu Kα).

Largest 10 diffraction maxima, low angle first, 2θ = 5–70°:
2θ/deg, I_rel
15.91, 16
29.54, 39
32.26, 17
32.58, 35
33.82, 74
34.53, 100
37.15, 46
50.22, 23
61.32, 14
65.29, 16

Atomic structure:
Cell lengths 6.0731, 6.0731, 16.5174 Å; angles 90.00, 90.00, 133.03 degrees
Fractional coordinates of all 16 atoms:
Ce1 0.0416 0.9584 0.7500
Ce2 0.1447 0.8553 0.0526
Ce3 0.1447 0.8553 0.4474
Ce4 0.8553 0.1447 0.5526
Ce5 0.8553 0.1447 0.9474
Ce6 0.9584 0.0416 0.2500
Pu1 0.2759 0.7241 0.6349
Pu2 0.2759 0.7241 0.8651
Pu3 0.7241 0.2759 0.1349
Pu4 0.7241 0.2759 0.3651
Tl1 0.2475 0.7525 0.2500
Tl2 0.4355 0.5645 0.0923
Tl3 0.4355 0.5645 0.4077
Tl4 0.5645 0.4355 0.5923
Tl5 0.5645 0.4355 0.9077
Tl6 0.7525 0.2475 0.7500

# 5
Starting from a PBE-relaxed structure, the XRD peak list of Ce3PuTl was calculated for λ = 1.5418 Å (Cu Kα).

Largest 10 diffraction maxima, low angle first, 2θ = 5–70°:
2θ/deg, I_rel
12.84, 64
15.15, 34
25.30, 50
26.03, 29
28.47, 26
30.58, 100
34.15, 86
36.49, 67
37.80, 18
51.96, 60

Atomic structure:
Cell lengths 7.0365, 7.0398, 7.9948 Å; angles 64.03, 63.94, 60.03 degrees
Fractional coordinates of all 10 atoms:
Ce1 0.0000 0.0000 0.0000
Ce2 0.0011 0.5123 0.0008
Ce3 0.0120 0.5277 0.4478
Ce4 0.5145 0.0003 0.0003
Ce5 0.5275 0.0119 0.4485
Ce6 0.5281 0.5279 0.4473
Pu1 0.4275 0.4261 0.2335
Pu2 0.7682 0.7674 0.2115
Tl1 0.0388 0.0382 0.3992
Tl2 0.5669 0.5671 0.8145

# 6
Starting from a PBE-relaxed structure, the XRD peak list of Ce2PuV was calculated for λ = 1.5418 Å (Cu Kα).

Largest 10 diffraction maxima, low angle first, 2θ = 5–70°:
2θ/deg, I_rel
10.39, 100
30.37, 41
34.45, 49
38.66, 9
41.10, 25
46.53, 31
52.39, 22
53.57, 11
55.78, 7
64.22, 8

Atomic structure:
Cell lengths 8.7516, 8.7516, 8.7516 Å; angles 23.02, 23.02, 23.02 degrees
Fractional coordinates of all 4 atoms:
Ce1 0.1038 0.1038 0.1038
Ce2 0.8962 0.8962 0.8962
Pu1 0.5000 0.5000 0.5000
V1 0.0000 0.0000 0.0000

# 7
Starting from a PBE-relaxed structure, the XRD peak list of Rb5CeS4 was calculated for λ = 1.5418 Å (Cu Kα).

Largest 10 diffraction maxima, low angle first, 2θ = 5–70°:
2θ/deg, I_rel
9.05, 21
10.05, 31
23.44, 29
23.95, 57
25.02, 27
27.38, 45
28.15, 100
38.64, 31
39.85, 20
40.65, 47

Atomic structure:
Cell lengths 10.1514, 10.1514, 8.9093 Å; angles 98.79, 98.79, 25.75 degrees
Fractional coordinates of all 10 atoms:
Rb1 0.0000 0.0000 0.0000
Rb2 0.3238 0.3238 0.6427
Rb3 0.3497 0.3497 0.1777
Rb4 0.6503 0.6503 0.8223
Rb5 0.6762 0.6762 0.3573
Ce1 0.0000 0.0000 0.5000
S1 0.1421 0.1421 0.5821
S2 0.4899 0.4899 0.7096
S3 0.5101 0.5101 0.2904
S4 0.8579 0.8579 0.4179

# 8
Starting from a PBE-relaxed structure, the XRD peak list of RbCeS was calculated for λ = 1.5418 Å (Cu Kα).

Largest 10 diffraction maxima, low angle first, 2θ = 5–70°:
2θ/deg, I_rel
6.10, 100
23.91, 13
24.58, 14
26.93, 44
30.87, 9
31.36, 34
31.97, 9
40.21, 11
44.94, 12
53.15, 10

Atomic structure:
Cell lengths 4.0344, 4.0344, 14.7497 Å; angles 97.68, 97.68, 90.00 degrees
Fractional coordinates of all 6 atoms:
Rb1 0.0813 0.0813 0.1583
Rb2 0.9187 0.9187 0.8417
Ce1 0.2936 0.2936 0.5885
Ce2 0.7064 0.7064 0.4115
S1 0.1972 0.1972 0.3926
S2 0.8028 0.8028 0.6074